# TiBi3Sb
Simulated powder X-ray diffraction pattern, λ = 1.5418 Å (Cu Kα). Input: a structure optimized by DFT (PBE).
Neutral-atom scattering factors, no anomalous dispersion.

Peak list (12 most intense, 2θ from 10° to 90°, by angle)
Position (°2θ)  d_spacing  intensity
16.35  5.421  10
28.52  3.130  100
33.05  2.710  67
37.08  2.424  6
47.44  1.917  49
50.51  1.807  3
56.29  1.634  47
59.03  1.565  17
69.34  1.355  8
76.62  1.244  20
78.99  1.212  23
88.33  1.107  18

Structural model:
```
TiBi3Sb
1.0
5.421 0.000 0.000
0.000 5.421 0.000
0.000 0.000 5.421
Ti Bi Sb
1 3 1
direct
0.000 0.000 0.000
0.000 0.000 0.500
0.000 0.500 0.000
0.500 0.000 0.000
0.500 0.500 0.500
```